Diffraction record for Ti4Se. The powder diffraction line list is calculated, not measured: it uses DFT lattice parameters and positions (PBE) and Cu Kα.
Lines closer than 0.1° are merged.

Main lines, by angle (2θ = 10–90°):
- 19.1 deg, intensity 55
- 27.1 deg, intensity 47
- 33.4 deg, intensity 35
- 38.7 deg, intensity 100
- 43.5 deg, intensity 25
- 47.9 deg, intensity 19
- 55.9 deg, intensity 63
- 59.7 deg, intensity 12
- 66.7 deg, intensity 10
- 70.1 deg, intensity 20
- 76.7 deg, intensity 9
- 83.1 deg, intensity 9

Cell and atoms:
Lattice parameters (Å, degrees): 4.6500 4.6500 4.6500 90.00 90.00 90.00
Element x y z (fractional)
Ti 0.0000 0.0000 0.0000
Ti 0.0000 0.5000 0.5000
Ti 0.5000 0.0000 0.5000
Ti 0.5000 0.5000 0.0000
Se 0.5000 0.5000 0.5000